Computed PXRD pattern
Compound: Mg3Al18Cr2
Radiation: Cu Ka
Structure: a cell relaxed with PBE

Cell and atoms:
Cell lengths 10.239, 10.239, 10.239 Å; angles 60.00, 60.00, 60.00 degrees
Atoms (fractional coordinates):
1 Mg 0.000 0.000 0.000
2 Mg 0.000 0.000 0.500
3 Mg 0.000 0.500 0.000
4 Mg 0.125 0.125 0.125
5 Mg 0.500 0.000 0.000
6 Mg 0.875 0.875 0.875
7 Al 0.058 0.325 0.325
8 Al 0.058 0.325 0.791
9 Al 0.058 0.791 0.325
10 Al 0.209 0.675 0.675
11 Al 0.209 0.675 0.942
12 Al 0.209 0.942 0.675
13 Al 0.235 0.235 0.515
14 Al 0.235 0.515 0.235
15 Al 0.235 0.515 0.515
16 Al 0.325 0.058 0.325
17 Al 0.325 0.058 0.791
18 Al 0.325 0.325 0.058
19 Al 0.325 0.325 0.791
20 Al 0.325 0.791 0.058
21 Al 0.325 0.791 0.325
22 Al 0.485 0.485 0.765
23 Al 0.485 0.765 0.485
24 Al 0.485 0.765 0.765
25 Al 0.515 0.235 0.235
26 Al 0.515 0.235 0.515
27 Al 0.515 0.515 0.235
28 Al 0.675 0.209 0.675
29 Al 0.675 0.209 0.942
30 Al 0.675 0.675 0.209
31 Al 0.675 0.675 0.942
32 Al 0.675 0.942 0.209
33 Al 0.675 0.942 0.675
34 Al 0.765 0.485 0.485
35 Al 0.765 0.485 0.765
36 Al 0.765 0.765 0.485
37 Al 0.791 0.058 0.325
38 Al 0.791 0.325 0.058
39 Al 0.791 0.325 0.325
40 Al 0.942 0.209 0.675
41 Al 0.942 0.675 0.209
42 Al 0.942 0.675 0.675
43 Cr 0.000 0.500 0.500
44 Cr 0.500 0.000 0.500
45 Cr 0.500 0.500 0.000
46 Cr 0.500 0.500 0.500

Main lines, in order of falling intensity (2θ = 10–80°):
- 2θ = 41.36°, rel. 100.0
- 2θ = 40.87°, rel. 71.7
- 2θ = 10.58°, rel. 53.3
- 2θ = 44.69°, rel. 49.1
- 2θ = 74.07°, rel. 40.0
- 2θ = 36.72°, rel. 39.8

=====

Computed PXRD pattern
Compound: MgAlCr
Radiation: Cu Ka
Structure: a cell relaxed with PBE

Cell and atoms:
Cell lengths 3.081, 3.081, 10.489 Å; angles 90.00, 90.00, 90.00 degrees
Atoms (fractional coordinates):
1 Mg 0.000 0.000 0.000
2 Mg 0.500 0.500 0.500
3 Al 0.000 0.000 0.307
4 Al 0.500 0.500 0.807
5 Cr 0.000 0.000 0.674
6 Cr 0.500 0.500 0.174

Main lines, in order of falling intensity (2θ = 10–80°):
- 2θ = 38.96°, rel. 100.0
- 2θ = 41.44°, rel. 44.6
- 2θ = 16.91°, rel. 28.8
- 2θ = 73.93°, rel. 26.3
- 2θ = 60.05°, rel. 13.8
- 2θ = 68.86°, rel. 13.1